# ZrSc4Cd3
Theoretical powder X-ray diffraction pattern, CuKα. Input: a crystal structure in Alexandria, relaxed with PBE.
Intensities are scaled so that the largest is 1000.

Most intense lines, 2θ = 10–90°, sorted by position:
| 2theta | intensity |
| --- | --- |
| 21.4 | 146 |
| 27.1 | 168 |
| 34.8 | 1000 |
| 38.7 | 373 |
| 43.6 | 125 |
| 55.9 | 120 |
| 59.7 | 186 |
| 67.5 | 260 |
| 73.4 | 98 |
| 74.3 | 89 |

Atomic structure:
```
8
Lattice="3.292 0.000 0.000 0.000 3.292 0.000 0.000 0.000 16.611" Properties=species:S:1:pos:R:3 pbc="T T T"
Zr 0.000 0.000 0.000
Sc 1.646 1.646 2.167
Sc 1.646 1.646 6.265
Sc 1.646 1.646 10.346
Sc 1.646 1.646 14.443
Cd 0.000 0.000 4.247
Cd 0.000 0.000 8.305
Cd 0.000 0.000 12.363
```



# ScTe2Ru
Theoretical powder X-ray diffraction pattern, CuKα. Input: a crystal structure in Alexandria, relaxed with PBE.
Intensities are scaled so that the largest is 1000.

Most intense lines, 2θ = 10–90°, sorted by position:
| 2theta | intensity |
| --- | --- |
| 32.4 | 1000 |
| 33.8 | 278 |
| 34.5 | 248 |
| 40.0 | 194 |
| 40.6 | 423 |
| 42.1 | 244 |
| 47.4 | 173 |
| 53.8 | 153 |
| 55.1 | 136 |
| 75.6 | 133 |

Atomic structure:
```
4
Lattice="4.291 0.000 0.000 0.000 1.918 5.299 0.000 -1.918 5.299" Properties=species:S:1:pos:R:3 pbc="T T T"
Sc 0.000 0.000 0.000
Te 0.000 0.000 7.536
Te 2.145 0.000 4.483
Ru 2.145 0.000 1.779
```



# Sr3Mg5
Theoretical powder X-ray diffraction pattern, CuKα. Input: a crystal structure in Alexandria, relaxed with PBE.
Intensities are scaled so that the largest is 1000.

Most intense lines, 2θ = 10–90°, sorted by position:
| 2theta | intensity |
| --- | --- |
| 21.5 | 217 |
| 22.4 | 219 |
| 23.1 | 397 |
| 24.6 | 283 |
| 29.5 | 699 |
| 29.8 | 490 |
| 29.9 | 493 |
| 30.3 | 1000 |
| 32.6 | 254 |
| 32.9 | 351 |

Atomic structure:
```
16
Lattice="6.066 0.000 0.000 2.850 8.252 0.000 2.984 0.003 10.853" Properties=species:S:1:pos:R:3 pbc="T T T"
Sr 0.000 0.000 0.000
Sr 2.861 3.370 4.366
Sr 2.879 3.826 0.282
Sr 5.878 5.729 4.364
Sr 8.862 8.254 8.727
Sr 8.901 3.830 8.448
Mg 1.372 0.483 4.346
Mg 2.969 0.587 6.974
Mg 5.855 5.854 7.947
Mg 3.030 0.583 1.754
Mg 5.884 2.726 6.457
Mg 4.588 0.553 4.382
Mg 5.906 5.851 0.780
Mg 5.896 2.721 2.274
Mg 8.909 6.456 5.957
Mg 8.890 6.453 2.770
```



# Pm3AuBr
Theoretical powder X-ray diffraction pattern, CuKα. Input: a crystal structure in Alexandria, relaxed with PBE.
Intensities are scaled so that the largest is 1000.

Most intense lines, 2θ = 10–90°, sorted by position:
| 2theta | intensity |
| --- | --- |
| 10.2 | 1000 |
| 27.8 | 361 |
| 29.8 | 475 |
| 31.8 | 685 |
| 32.2 | 766 |
| 33.1 | 907 |
| 36.4 | 623 |
| 37.1 | 331 |
| 38.6 | 322 |
| 58.2 | 292 |

Atomic structure:
```
10
Lattice="3.716 0.000 0.000 0.000 9.587 0.000 0.000 0.000 8.639" Properties=species:S:1:pos:R:3 pbc="T T T"
Pm 0.929 0.546 1.501
Pm 0.929 2.397 6.066
Pm 0.929 4.248 1.501
Pm 2.787 5.339 7.138
Pm 2.787 7.190 2.573
Pm 2.787 9.041 7.138
Au 0.929 7.190 0.221
Au 2.787 2.397 8.418
Br 0.929 7.190 5.143
Br 2.787 2.397 3.496
```



# K3Tl2Sn3
Theoretical powder X-ray diffraction pattern, CuKα. Input: a crystal structure in Alexandria, relaxed with PBE.
Intensities are scaled so that the largest is 1000.

Most intense lines, 2θ = 10–90°, sorted by position:
| 2theta | intensity |
| --- | --- |
| 13.6 | 218 |
| 14.3 | 460 |
| 18.5 | 232 |
| 28.6 | 1000 |
| 31.1 | 943 |
| 31.5 | 134 |
| 33.2 | 220 |
| 36.8 | 148 |
| 39.0 | 268 |
| 52.2 | 151 |

Atomic structure:
```
16
Lattice="2.309 -6.525 0.000 2.309 6.525 0.000 0.000 0.000 19.142" Properties=species:S:1:pos:R:3 pbc="T T T"
K 2.309 5.549 14.357
K 2.309 4.780 10.298
K 2.309 4.780 18.415
K 2.309 -4.780 0.727
K 2.309 -4.780 8.844
K 2.309 -5.549 4.786
Tl 2.309 3.483 2.897
Tl 2.309 3.483 6.674
Tl 2.309 -3.483 12.468
Tl 2.309 -3.483 16.245
Sn 2.309 1.808 14.357
Sn 2.309 0.824 11.677
Sn 2.309 0.824 17.036
Sn 2.309 -0.824 2.106
Sn 2.309 -0.824 7.465
Sn 2.309 -1.808 4.786
```



# Zn3FeI9
Theoretical powder X-ray diffraction pattern, CuKα. Input: a crystal structure in Alexandria, relaxed with PBE.
Intensities are scaled so that the largest is 1000.

Most intense lines, 2θ = 10–90°, sorted by position:
| 2theta | intensity |
| --- | --- |
| 10.4 | 815 |
| 22.9 | 746 |
| 23.8 | 808 |
| 25.1 | 934 |
| 25.6 | 538 |
| 26.8 | 834 |
| 26.9 | 928 |
| 27.5 | 756 |
| 30.9 | 1000 |
| 47.2 | 806 |

Atomic structure:
```
26
Lattice="8.015 0.000 0.000 0.000 11.791 0.000 -3.068 0.000 12.361" Properties=species:S:1:pos:R:3 pbc="T T T"
Zn 0.000 0.000 0.000
Zn 0.000 5.896 0.000
Zn 1.177 0.263 9.726
Zn 1.177 5.633 9.726
Zn 3.771 6.158 2.634
Zn 3.771 11.529 2.634
Fe 1.673 2.948 7.907
Fe 3.275 8.843 4.454
I -2.793 2.948 11.566
I 1.359 0.610 2.445
I 1.359 5.285 2.445
I -0.716 6.826 10.960
I -0.716 10.861 10.960
I 0.845 8.843 4.962
I 0.518 0.761 7.128
I 0.518 5.135 7.128
I 1.307 2.948 10.524
I 3.641 8.843 1.837
I 4.429 6.656 5.233
I 4.429 11.031 5.233
I 4.103 2.948 7.399
I 5.664 0.930 1.401
I 5.664 4.965 1.401
I 3.589 6.506 9.916
I 3.589 11.181 9.916
I 7.740 8.843 0.795
```



# SrAc5Pt3
Theoretical powder X-ray diffraction pattern, CuKα. Input: a crystal structure in Alexandria, relaxed with PBE.
Intensities are scaled so that the largest is 1000.

Most intense lines, 2θ = 10–90°, sorted by position:
| 2theta | intensity |
| --- | --- |
| 17.1 | 715 |
| 17.5 | 342 |
| 26.4 | 1000 |
| 26.6 | 970 |
| 27.0 | 446 |
| 27.5 | 435 |
| 34.2 | 902 |
| 34.6 | 940 |
| 40.5 | 476 |
| 42.1 | 847 |

Atomic structure:
```
18
Lattice="7.349 0.000 0.000 0.000 4.454 0.000 -0.473 0.000 21.464" Properties=species:S:1:pos:R:3 pbc="T T T"
Sr 1.158 0.000 5.486
Sr 5.719 0.000 15.979
Ac 0.795 0.000 19.823
Ac 0.982 0.000 12.638
Ac 2.206 2.227 9.065
Ac 2.064 2.227 16.184
Ac 2.459 2.227 1.903
Ac 4.417 2.227 19.561
Ac 4.812 2.227 5.280
Ac 4.670 2.227 12.399
Ac 5.894 0.000 8.826
Ac 6.081 0.000 1.642
Pt 0.000 2.227 0.000
Pt -0.273 2.227 14.247
Pt 3.201 0.000 17.898
Pt 3.438 0.000 10.732
Pt 3.675 0.000 3.566
Pt 7.150 2.227 7.217
```